Simulated powder X-ray diffraction pattern of La6Au5 for copper Kα, from a structure optimized by DFT (PBE).
No peak broadening, texture or thermal motion is included.

Cell and atoms:
```
La6Au5
1.0
-2.6526 3.7710 7.9678
2.6526 -3.7710 7.9678
2.6526 3.7710 -7.9678
La Au
6 5
direct
0.0817 0.3328 0.7489
0.2475 0.0000 0.2475
0.4161 0.6672 0.7489
0.5839 0.3328 0.2511
0.7525 0.0000 0.7525
0.9183 0.6672 0.2511
0.0000 0.5000 0.5000
0.1677 0.1677 0.0000
0.3409 0.8409 0.5000
0.6591 0.1591 0.5000
0.8323 0.8323 0.0000
```

Largest 10 diffraction maxima, in order of rising 2θ, 5 to 70 degrees two-theta:
2θ 13.0, I = 3.9; 2θ 17.6, I = 2.7; 2θ 20.5, I = 3.2; 2θ 23.3, I = 3.2; 2θ 33.7, I = 100.0; 2θ 33.8, I = 20.0; 2θ 48.3, I = 7.4; 2θ 48.5, I = 14.3; 2θ 60.2, I = 15.2; 2θ 60.4, I = 29.7